[1]
Starting from DFT lattice parameters and positions (PBE), the powder XRD pattern of Ba3TaTi was computed for Cu Kα (weighted mean of Kα1 and Kα2).
Neutral-atom scattering factors, no anomalous dispersion.

Structural model:
abc: 6.1069 6.1069 6.1069
angles: 90.00 90.00 90.00
Sites, in units of the cell vectors:
Ba 0.0000 0.0000 0.5000
Ba 0.0000 0.5000 0.0000
Ba 0.5000 0.0000 0.0000
Ta 0.0000 0.0000 0.0000
Ti 0.5000 0.5000 0.5000

Main lines, in order of falling intensity (2θ = 10–90°):
29.25 deg, 3.053 Å, I = 100
14.50 deg, 6.107 Å, I = 91
41.84 deg, 2.159 Å, I = 75
32.79 deg, 2.731 Å, I = 53
25.26 deg, 3.526 Å, I = 36
68.74 deg, 1.366 Å, I = 34
44.51 deg, 2.036 Å, I = 29
51.86 deg, 1.763 Å, I = 27
76.40 deg, 1.247 Å, I = 26
62.73 deg, 1.481 Å, I = 17
49.50 deg, 1.841 Å, I = 16
54.15 deg, 1.694 Å, I = 13


[2]
Starting from DFT lattice parameters and positions (PBE), the powder XRD pattern of Tl3Ag5Cl16 was computed for Cu Kα (weighted mean of Kα1 and Kα2).
Neutral-atom scattering factors, no anomalous dispersion.

Structural model:
abc: 8.0156 8.0156 12.4757
angles: 95.20 95.20 57.51
Sites, in units of the cell vectors:
Tl 0.0000 0.0000 0.0000
Tl 0.1550 0.6562 0.5002
Tl 0.6562 0.1550 0.5002
Ag 0.0030 0.4983 0.9942
Ag 0.1774 0.1774 0.2549
Ag 0.4983 0.0030 0.9942
Ag 0.5047 0.5047 0.7752
Ag 0.6549 0.6549 0.5037
Cl 0.1598 0.1598 0.8856
Cl 0.1641 0.6791 0.8785
Cl 0.3101 0.8523 0.1345
Cl 0.3203 0.3203 0.1117
Cl 0.3280 0.8039 0.6179
Cl 0.3429 0.3429 0.6297
Cl 0.4673 0.4673 0.3748
Cl 0.4869 0.9878 0.3907
Cl 0.6690 0.6690 0.8872
Cl 0.6791 0.1641 0.8785
Cl 0.8039 0.3280 0.6179
Cl 0.8329 0.8329 0.1041
Cl 0.8368 0.8368 0.6219
Cl 0.8523 0.3101 0.1345
Cl 0.9676 0.9676 0.3785
Cl 0.9878 0.4869 0.3907

Main lines, in order of falling intensity (2θ = 10–90°):
14.28 deg, 6.204 Å, I = 100
27.69 deg, 3.221 Å, I = 50
45.48 deg, 1.994 Å, I = 50
14.62 deg, 6.060 Å, I = 48
27.22 deg, 3.276 Å, I = 46
33.41 deg, 2.682 Å, I = 45
13.88 deg, 6.378 Å, I = 40
47.11 deg, 1.929 Å, I = 37
15.23 deg, 5.817 Å, I = 36
35.14 deg, 2.554 Å, I = 34
25.78 deg, 3.456 Å, I = 33
25.47 deg, 3.498 Å, I = 32


[3]
Starting from DFT lattice parameters and positions (PBE), the powder XRD pattern of Fe3BrCl12 was computed for Cu Kα (weighted mean of Kα1 and Kα2).
Neutral-atom scattering factors, no anomalous dispersion.

Structural model:
abc: 12.1052 12.1052 12.1052
angles: 62.11 62.11 62.11
Sites, in units of the cell vectors:
Fe 0.0329 0.3116 0.6555
Fe 0.1555 0.8116 0.5329
Fe 0.3116 0.6555 0.0329
Fe 0.5329 0.1555 0.8116
Fe 0.6555 0.0329 0.3116
Fe 0.8116 0.5329 0.1555
Br 0.2290 0.2290 0.2290
Br 0.7290 0.7290 0.7290
Cl 0.0528 0.1244 0.8050
Cl 0.0933 0.2756 0.4745
Cl 0.1244 0.8050 0.0528
Cl 0.1471 0.8880 0.6645
Cl 0.1645 0.3880 0.6471
Cl 0.1741 0.9446 0.3359
Cl 0.2756 0.4745 0.0933
Cl 0.3050 0.6244 0.5528
Cl 0.3359 0.1741 0.9446
Cl 0.3880 0.6471 0.1645
Cl 0.4446 0.6741 0.8359
Cl 0.4745 0.0933 0.2756
Cl 0.5528 0.3050 0.6244
Cl 0.5933 0.9745 0.7756
Cl 0.6244 0.5528 0.3050
Cl 0.6471 0.1645 0.3880
Cl 0.6645 0.1471 0.8880
Cl 0.6741 0.8359 0.4446
Cl 0.7756 0.5933 0.9745
Cl 0.8050 0.0528 0.1244
Cl 0.8359 0.4446 0.6741
Cl 0.8880 0.6645 0.1471
Cl 0.9446 0.3359 0.1741
Cl 0.9745 0.7756 0.5933

Main lines, in order of falling intensity (2θ = 10–90°):
16.87 deg, 5.254 Å, I = 100
17.49 deg, 5.071 Å, I = 16
14.65 deg, 6.047 Å, I = 15
21.95 deg, 4.049 Å, I = 13
32.92 deg, 2.721 Å, I = 12
24.69 deg, 3.605 Å, I = 10
34.13 deg, 2.627 Å, I = 9
10.18 deg, 8.688 Å, I = 9
30.88 deg, 2.896 Å, I = 9
18.25 deg, 4.862 Å, I = 8
23.19 deg, 3.836 Å, I = 8
39.28 deg, 2.294 Å, I = 7


[4]
Starting from DFT lattice parameters and positions (PBE), the powder XRD pattern of Tb3PuSe4 was computed for Cu Kα (weighted mean of Kα1 and Kα2).
Neutral-atom scattering factors, no anomalous dispersion.

Structural model:
abc: 7.1160 7.1160 7.1160
angles: 131.89 131.89 70.40
Sites, in units of the cell vectors:
Tb 0.0000 0.0000 0.0000
Tb 0.2500 0.7500 0.5000
Tb 0.7500 0.2500 0.5000
Pu 0.5000 0.5000 0.0000
Se 0.0000 0.5000 0.5000
Se 0.2490 0.2490 0.0000
Se 0.5000 0.0000 0.5000
Se 0.7510 0.7510 0.0000

Main lines, in order of falling intensity (2θ = 10–90°):
30.80 deg, 2.903 Å, I = 100
44.12 deg, 2.053 Å, I = 75
26.59 deg, 3.352 Å, I = 27
54.77 deg, 1.676 Å, I = 26
72.91 deg, 1.297 Å, I = 23
81.20 deg, 1.185 Å, I = 17
52.26 deg, 1.750 Å, I = 14
72.77 deg, 1.300 Å, I = 11
81.09 deg, 1.186 Å, I = 9
64.23 deg, 1.450 Å, I = 8
70.74 deg, 1.332 Å, I = 6
64.05 deg, 1.454 Å, I = 4


[5]
Starting from DFT lattice parameters and positions (PBE), the powder XRD pattern of AcCo9Si4 was computed for Cu Kα (weighted mean of Kα1 and Kα2).
Neutral-atom scattering factors, no anomalous dispersion.

Structural model:
abc: 7.9991 7.9991 7.9991
angles: 121.51 121.51 87.40
Sites, in units of the cell vectors:
Ac 0.2500 0.2500 0.0000
Ac 0.7500 0.7500 0.0000
Co 0.0000 0.5000 0.5000
Co 0.0521 0.5521 0.2449
Co 0.0696 0.7992 0.8688
Co 0.1928 0.9479 0.5000
Co 0.2008 0.0696 0.2705
Co 0.2992 0.5696 0.8688
Co 0.3072 0.8072 0.7551
Co 0.4304 0.2992 0.7295
Co 0.4479 0.6928 0.5000
Co 0.5000 0.0000 0.5000
Co 0.5521 0.3072 0.5000
Co 0.5696 0.7008 0.2705
Co 0.6928 0.1928 0.2449
Co 0.7008 0.4304 0.1312
Co 0.7992 0.9304 0.7295
Co 0.8072 0.0521 0.5000
Co 0.9304 0.2008 0.1312
Co 0.9479 0.4479 0.7551
Si 0.0490 0.2118 0.5000
Si 0.2118 0.7118 0.1628
Si 0.2882 0.4510 0.5000
Si 0.4510 0.9510 0.1628
Si 0.5490 0.0490 0.8372
Si 0.7118 0.5490 0.5000
Si 0.7882 0.2882 0.8372
Si 0.9510 0.7882 0.5000

Main lines, in order of falling intensity (2θ = 10–90°):
39.66 deg, 2.273 Å, I = 100
38.74 deg, 2.324 Å, I = 28
35.02 deg, 2.562 Å, I = 28
36.02 deg, 2.493 Å, I = 28
47.12 deg, 1.929 Å, I = 25
48.16 deg, 1.890 Å, I = 24
36.35 deg, 2.472 Å, I = 23
27.55 deg, 3.238 Å, I = 21
22.25 deg, 3.995 Å, I = 21
22.76 deg, 3.908 Å, I = 19
30.93 deg, 2.891 Å, I = 17
52.35 deg, 1.748 Å, I = 15


[6]
Starting from DFT lattice parameters and positions (PBE), the powder XRD pattern of LaNd4Ho8 was computed for Cu Kα (weighted mean of Kα1 and Kα2).
Neutral-atom scattering factors, no anomalous dispersion.

Structural model:
abc: 7.8377 7.8377 7.8377
angles: 90.00 90.00 90.00
Sites, in units of the cell vectors:
La 0.0000 0.0000 0.0000
Nd 0.0000 0.0000 0.5000
Nd 0.0000 0.5000 0.0000
Nd 0.5000 0.0000 0.0000
Nd 0.5000 0.5000 0.5000
Ho 0.2615 0.2615 0.2615
Ho 0.2615 0.2615 0.7385
Ho 0.2615 0.7385 0.2615
Ho 0.2615 0.7385 0.7385
Ho 0.7385 0.2615 0.2615
Ho 0.7385 0.2615 0.7385
Ho 0.7385 0.7385 0.2615
Ho 0.7385 0.7385 0.7385

Main lines, in order of falling intensity (2θ = 10–90°):
32.31 deg, 2.771 Å, I = 100
57.62 deg, 1.600 Å, I = 37
46.34 deg, 1.959 Å, I = 18
76.94 deg, 1.239 Å, I = 15
19.62 deg, 4.525 Å, I = 11
67.62 deg, 1.386 Å, I = 11
22.69 deg, 3.919 Å, I = 10
38.08 deg, 2.363 Å, I = 6
25.41 deg, 3.505 Å, I = 5
85.92 deg, 1.131 Å, I = 4
52.19 deg, 1.753 Å, I = 4
15.99 deg, 5.542 Å, I = 3


[7]
Starting from DFT lattice parameters and positions (PBE), the powder XRD pattern of K5CdBrO2 was computed for Cu Kα (weighted mean of Kα1 and Kα2).
Neutral-atom scattering factors, no anomalous dispersion.

Structural model:
abc: 5.4373 5.4373 9.7273
angles: 90.00 90.00 90.00
Sites, in units of the cell vectors:
K 0.0000 0.0000 0.0000
K 0.0000 0.5000 0.2725
K 0.0000 0.5000 0.7275
K 0.5000 0.0000 0.2725
K 0.5000 0.0000 0.7275
Cd 0.0000 0.0000 0.5000
Br 0.5000 0.5000 0.0000
O 0.0000 0.0000 0.2706
O 0.0000 0.0000 0.7294

Main lines, in order of falling intensity (2θ = 10–90°):
29.62 deg, 3.016 Å, I = 100
18.70 deg, 4.746 Å, I = 60
32.95 deg, 2.719 Å, I = 54
56.79 deg, 1.621 Å, I = 29
50.34 deg, 1.813 Å, I = 26
36.97 deg, 2.432 Å, I = 21
16.30 deg, 5.437 Å, I = 20
38.15 deg, 2.359 Å, I = 20
47.28 deg, 1.922 Å, I = 18
61.49 deg, 1.508 Å, I = 14
32.14 deg, 2.785 Å, I = 12
46.69 deg, 1.945 Å, I = 10


[8]
Starting from DFT lattice parameters and positions (PBE), the powder XRD pattern of Tl2PPb was computed for Cu Kα (weighted mean of Kα1 and Kα2).
Neutral-atom scattering factors, no anomalous dispersion.

Structural model:
abc: 3.3895 4.8590 6.6617
angles: 90.00 96.51 90.00
Sites, in units of the cell vectors:
Tl 0.1130 0.0000 0.2731
Tl 0.8870 0.0000 0.7269
P 0.5000 0.5000 0.5000
Pb 0.5000 0.5000 0.0000

Main lines, in order of falling intensity (2θ = 10–90°):
32.74 deg, 2.735 Å, I = 100
32.34 deg, 2.768 Å, I = 78
37.00 deg, 2.429 Å, I = 38
35.82 deg, 2.507 Å, I = 37
33.92 deg, 2.643 Å, I = 36
22.70 deg, 3.917 Å, I = 34
31.13 deg, 2.873 Å, I = 34
52.45 deg, 1.745 Å, I = 25
49.11 deg, 1.855 Å, I = 20
55.64 deg, 1.652 Å, I = 17
62.67 deg, 1.482 Å, I = 17
40.32 deg, 2.237 Å, I = 15


[9]
Starting from DFT lattice parameters and positions (PBE), the powder XRD pattern of Ba2PmCdAu6 was computed for Cu Kα (weighted mean of Kα1 and Kα2).
Neutral-atom scattering factors, no anomalous dispersion.

Structural model:
abc: 7.7954 7.7954 7.7954
angles: 60.00 60.00 60.00
Sites, in units of the cell vectors:
Ba 0.2500 0.2500 0.2500
Ba 0.7500 0.7500 0.7500
Pm 0.0000 0.0000 0.0000
Cd 0.5000 0.5000 0.5000
Au 0.2565 0.2565 0.7435
Au 0.2565 0.7435 0.2565
Au 0.2565 0.7435 0.7435
Au 0.7435 0.2565 0.2565
Au 0.7435 0.2565 0.7435
Au 0.7435 0.7435 0.2565

Main lines, in order of falling intensity (2θ = 10–90°):
32.49 deg, 2.756 Å, I = 100
28.04 deg, 3.182 Å, I = 93
46.60 deg, 1.949 Å, I = 73
55.27 deg, 1.662 Å, I = 43
77.43 deg, 1.233 Å, I = 33
16.08 deg, 5.512 Å, I = 28
86.50 deg, 1.125 Å, I = 26
57.96 deg, 1.591 Å, I = 25
75.13 deg, 1.265 Å, I = 18
36.45 deg, 2.465 Å, I = 16
68.03 deg, 1.378 Å, I = 12
49.62 deg, 1.837 Å, I = 8


[10]
Starting from DFT lattice parameters and positions (PBE), the powder XRD pattern of LaSm10Er6 was computed for Cu Kα (weighted mean of Kα1 and Kα2).
Neutral-atom scattering factors, no anomalous dispersion.

Structural model:
abc: 9.7834 9.7834 6.8724
angles: 90.00 90.00 120.00
Sites, in units of the cell vectors:
La 0.0000 0.0000 0.0000
Sm 0.0000 0.2791 0.3206
Sm 0.0000 0.7209 0.6794
Sm 0.2791 0.0000 0.3206
Sm 0.2791 0.2791 0.6794
Sm 0.3333 0.6667 0.0000
Sm 0.3333 0.6667 0.5000
Sm 0.6667 0.3333 0.0000
Sm 0.6667 0.3333 0.5000
Sm 0.7209 0.0000 0.6794
Sm 0.7209 0.7209 0.3206
Er 0.0000 0.3723 0.8093
Er 0.0000 0.6277 0.1907
Er 0.3723 0.0000 0.8093
Er 0.3723 0.3723 0.1907
Er 0.6277 0.0000 0.1907
Er 0.6277 0.6277 0.8093

Main lines, in order of falling intensity (2θ = 10–90°):
31.83 deg, 2.812 Å, I = 100
31.68 deg, 2.824 Å, I = 81
30.80 deg, 2.903 Å, I = 39
45.52 deg, 1.993 Å, I = 26
56.50 deg, 1.629 Å, I = 26
56.79 deg, 1.621 Å, I = 19
48.68 deg, 1.870 Å, I = 12
40.57 deg, 2.224 Å, I = 11
62.51 deg, 1.486 Å, I = 11
59.26 deg, 1.559 Å, I = 10
24.69 deg, 3.606 Å, I = 8
56.07 deg, 1.640 Å, I = 8


[11]
Starting from DFT lattice parameters and positions (PBE), the powder XRD pattern of PaCu3I9 was computed for Cu Kα (weighted mean of Kα1 and Kα2).
Neutral-atom scattering factors, no anomalous dispersion.

Structural model:
abc: 11.2857 11.2857 14.4139
angles: 122.30 122.30 54.53
Sites, in units of the cell vectors:
Pa 0.2414 0.7586 0.5000
Pa 0.7586 0.2414 0.0000
Cu 0.1870 0.4520 0.8630
Cu 0.4520 0.1870 0.3630
Cu 0.5810 0.7289 0.3562
Cu 0.7289 0.5810 0.8562
Cu 0.7432 0.9790 0.1712
Cu 0.9790 0.7432 0.6712
I 0.0190 0.5055 0.9537
I 0.0642 0.2130 0.0726
I 0.0982 0.8925 0.6796
I 0.2130 0.0642 0.5726
I 0.2139 0.5142 0.7376
I 0.2425 0.4573 0.4370
I 0.3629 0.6617 0.3186
I 0.4573 0.2425 0.9370
I 0.5055 0.0190 0.4537
I 0.5142 0.2139 0.2376
I 0.5667 0.6455 0.6549
I 0.5868 0.8356 0.9897
I 0.6455 0.5667 0.1549
I 0.6617 0.3629 0.8186
I 0.8213 0.9308 0.8215
I 0.8356 0.5868 0.4897
I 0.8925 0.0982 0.1796
I 0.9308 0.8213 0.3215

Main lines, in order of falling intensity (2θ = 10–90°):
14.63 deg, 6.054 Å, I = 100
23.82 deg, 3.736 Å, I = 67
10.57 deg, 8.372 Å, I = 55
25.43 deg, 3.503 Å, I = 52
26.26 deg, 3.394 Å, I = 41
28.17 deg, 3.168 Å, I = 32
35.97 deg, 2.497 Å, I = 30
37.67 deg, 2.388 Å, I = 27
20.56 deg, 4.319 Å, I = 26
36.11 deg, 2.487 Å, I = 23
45.68 deg, 1.986 Å, I = 22
15.95 deg, 5.558 Å, I = 21


[12]
Starting from DFT lattice parameters and positions (PBE), the powder XRD pattern of CePm2SmSb5 was computed for Cu Kα (weighted mean of Kα1 and Kα2).
Neutral-atom scattering factors, no anomalous dispersion.

Structural model:
abc: 5.3612 5.3612 11.7866
angles: 90.00 90.00 90.00
Sites, in units of the cell vectors:
Ce 0.0000 0.0000 0.0000
Pm 0.5000 0.5000 0.2784
Pm 0.5000 0.5000 0.7216
Sm 0.0000 0.0000 0.5000
Sb 0.0000 0.0000 0.2461
Sb 0.0000 0.0000 0.7539
Sb 0.0000 0.5000 0.5000
Sb 0.5000 0.0000 0.5000
Sb 0.5000 0.5000 0.0000

Main lines, in order of falling intensity (2θ = 10–90°):
33.43 deg, 2.681 Å, I = 100
23.47 deg, 3.791 Å, I = 87
45.76 deg, 1.983 Å, I = 73
30.33 deg, 2.947 Å, I = 57
38.70 deg, 2.326 Å, I = 38
57.84 deg, 1.594 Å, I = 36
48.00 deg, 1.895 Å, I = 36
32.83 deg, 2.728 Å, I = 35
24.67 deg, 3.609 Å, I = 29
27.99 deg, 3.188 Å, I = 28
87.94 deg, 1.110 Å, I = 23
28.16 deg, 3.169 Å, I = 20